For Na2VIrO6, a structure optimized by DFT (PBE+U) gives the simulated powder X-ray diffraction pattern in this record (CuKα).
Neutral-atom scattering factors, no anomalous dispersion.

Peak list (6 most intense, 10° ≤ 2θ ≤ 80°, in order of rising 2θ)
16.4°, intensity 73.6; 22.9°, intensity 49.3; 23.3°, intensity 96.5; 28.3°, intensity 43.7; 32.9°, intensity 100.0; 33.1°, intensity 49.8

Atomic structure:
Lattice parameters (Å, degrees): 5.406 5.406 3.878 90.00 90.00 90.00
Element x y z (fractional)
Na: 0.000 0.500 0.000
Na: 0.500 0.000 0.000
V: 0.000 0.000 0.482
Ir: 0.500 0.500 0.529
O: 0.000 0.000 0.036
O: 0.244 0.244 0.535
O: 0.244 0.756 0.535
O: 0.500 0.500 0.030
O: 0.756 0.244 0.535
O: 0.756 0.756 0.535